(1)
Structure and simulated PXRD pattern of GeAsCl (a PBE-relaxed structure; Cu Kα (weighted mean of Kα1 and Kα2)).
Peak positions follow from Bragg's law for the DFT cell and can differ from measured ones.

Peak list (10 most intense, 2θ = 10–80°, sorted by position)
2θ/deg  intensity  (hkl)
11.22  100  0 2 0
23.09  25  1 3 0
27.57  23  1 4 0
28.54  63  1 1 1
30.21  19  1 2 1
32.50  16  1 5 0
43.21  36  2 3 1
46.67  14  0 7 1
47.03  14  0 0 2
49.28  26  2 5 1

Cell and atoms:
Lattice parameters (Å, degrees): 5.6583 15.7713 3.8641 90.00 90.00 90.00
Space group Pnnm (No. 58)
Unique sites:
1 Ge 0.0287 0.2020 0.0000 [4 per cell]
2 As 0.2307 0.8343 0.5000 [4 per cell]
3 Cl 0.2310 0.5907 0.5000 [4 per cell]

***

(2)
Structure and simulated PXRD pattern of La6GeAs2Cl3 (a PBE-relaxed structure; Cu Kα (weighted mean of Kα1 and Kα2)).
Peak positions follow from Bragg's law for the DFT cell and can differ from measured ones.

Peak list (10 most intense, 2θ = 10–80°, sorted by position)
2θ/deg  intensity  (hkl)
25.17  25  3 1 0
29.34  100  6 0 0
41.53  39  5 1 2
42.42  35  7 1 -2
49.57  8  9 1 0
51.66  20  6 2 0
60.87  12  12 0 0
68.35  17  11 1 2
69.61  10  8 2 -4
76.43  8  12 2 0

Cell and atoms:
Lattice parameters (Å, degrees): 18.6334 4.3459 8.5351 90.00 101.55 90.00
Space group C2/m (No. 12)
Unique sites:
1 La 0.0031 0.0000 0.2426 [4 per cell]
2 La 0.1634 0.5000 0.0902 [4 per cell]
3 La 0.1695 0.5000 0.5751 [4 per cell]
4 Ge 0.0000 0.5000 0.0000 [2 per cell]
5 As 0.1673 0.0000 0.3337 [4 per cell]
6 Cl 0.0000 0.5000 0.5000 [2 per cell]
7 Cl 0.1656 0.0000 0.8319 [4 per cell]

***

(3)
Structure and simulated PXRD pattern of AsHCl (a PBE-relaxed structure; Cu Kα (weighted mean of Kα1 and Kα2)).
Peak positions follow from Bragg's law for the DFT cell and can differ from measured ones.

Peak list (10 most intense, 2θ = 10–80°, sorted by position)
2θ/deg  intensity  (hkl)
16.77  100  2 0 0
23.07  35  1 0 2
24.61  33  2 0 -2
25.26  60  3 0 0
32.37  63  1 1 -2
33.85  47  1 1 2
37.66  23  2 1 2
45.06  27  4 1 -2
49.45  18  4 1 2
56.86  18  3 2 0

Cell and atoms:
Lattice parameters (Å, degrees): 10.6755 3.6446 8.8158 90.00 97.83 90.00
Space group P2_1/c (No. 14)
Unique sites:
1 As 0.9998 0.2500 0.1636 [4 per cell]
2 H 0.4979 0.7466 0.1229 [4 per cell]
3 Cl 0.3759 0.7490 0.6044 [4 per cell]

***

(4)
Structure and simulated PXRD pattern of AsHPb4Cl4O4 (a PBE-relaxed structure; Cu Kα (weighted mean of Kα1 and Kα2)).
Peak positions follow from Bragg's law for the DFT cell and can differ from measured ones.

Peak list (10 most intense, 2θ = 10–80°, sorted by position)
2θ/deg  intensity  (hkl)
21.74  48  0 2 0
22.06  50  1 1 2
22.64  36  3 0 -2
27.47  39  1 2 -2
27.57  51  0 2 2
27.96  100  4 1 0
29.20  52  3 2 0
33.57  32  1 3 0
34.78  37  1 1 -4
41.71  32  5 0 -4

Cell and atoms:
Lattice parameters (Å, degrees): 14.1983 8.1629 10.8786 90.00 102.47 90.00
Space group P2_1/c (No. 14)
Unique sites:
1 As 0.1984 0.0527 0.1527 [4 per cell]
2 H 0.2009 0.7478 0.8054 [4 per cell]
3 Pb 0.0575 0.7342 0.4843 [4 per cell]
4 Pb 0.1851 0.0906 0.8439 [4 per cell]
5 Pb 0.3316 0.7375 0.5560 [4 per cell]
6 Pb 0.4097 0.2199 0.6330 [4 per cell]
7 Cl 0.0012 0.5514 0.2190 [4 per cell]
8 Cl 0.2188 0.0429 0.5634 [4 per cell]
9 Cl 0.4094 0.1199 0.3769 [4 per cell]
10 Cl 0.4202 0.5853 0.3418 [4 per cell]
11 O 0.1011 0.0603 0.0118 [4 per cell]
12 O 0.2004 0.6925 0.3865 [4 per cell]
13 O 0.2009 0.6675 0.6607 [4 per cell]
14 O 0.2972 0.0646 0.0659 [4 per cell]

***

(5)
Structure and simulated PXRD pattern of AsH2OsCl (a PBE-relaxed structure; Cu Kα (weighted mean of Kα1 and Kα2)).
Peak positions follow from Bragg's law for the DFT cell and can differ from measured ones.

Peak list (10 most intense, 2θ = 10–80°, sorted by position)
2θ/deg  intensity  (hkl)
24.15  37  1 0 0
30.69  100  1 0 1
34.42  63  1 1 0
37.83  25  0 0 2
45.39  14  1 0 2
49.47  23  2 0 0
52.06  39  1 1 2
59.35  32  2 1 1
63.92  34  2 0 2
69.38  9  2 1 2

Cell and atoms:
Lattice parameters (Å, degrees): 3.6850 3.6850 4.7564 90.00 90.00 90.00
Space group P4/mmm (No. 123)
Unique sites:
1 As 0.0000 0.0000 0.0000 [1 per cell]
2 H 0.0000 0.5000 0.5000 [2 per cell]
3 Os 0.5000 0.5000 0.5000 [1 per cell]
4 Cl 0.5000 0.5000 0.0000 [1 per cell]